Mn3OF5: simulated X-ray powder pattern (Cu Ka), based on a crystal structure in Alexandria, relaxed with PBE+U.
Neutral-atom scattering factors, no anomalous dispersion.

Atomic structure:
```
18
Lattice="4.8683 0.0000 0.0000 0.3087 5.7716 0.0000 0.1291 0.3881 8.2103" Properties=species:S:1:pos:R:3 pbc="T T T"
Mn 0.0000 0.0000 0.0000
Mn 0.1929 2.1868 5.4538
Mn 2.6264 5.1536 5.6540
Mn 2.5885 2.8858 0.0000
Mn 2.6797 1.0061 2.5564
Mn 5.1132 3.9729 2.7566
O 1.7691 4.8661 7.5210
O 3.5371 1.2936 0.6894
F 1.2187 5.7094 1.8956
F 1.2095 3.8932 4.6628
F 1.2311 1.9630 7.3378
F 1.6919 2.7964 1.8215
F 1.6466 1.0353 4.5168
F 3.6595 5.1245 3.6935
F 3.6142 3.3633 6.3889
F 4.0750 4.1967 0.8725
F 4.0966 2.2665 3.5475
F 4.0874 0.4503 6.3148
```

The 12 most intense peaks (10 to 90 degrees two-theta), in order of rising 2θ:
2θ 25.32, I 100; 2θ 26.69, I 87; 2θ 32.71, I 47; 2θ 33.31, I 26; 2θ 33.43, I 26; 2θ 37.54, I 21; 2θ 49.48, I 17; 2θ 49.54, I 16; 2θ 49.85, I 18; 2θ 50.12, I 18; 2θ 51.96, I 34; 2θ 56.23, I 21